# PaP4Ru4
Computed powder diffraction line list, CuKα. Input: a cell relaxed with PBE.
Neutral-atom scattering factors, no anomalous dispersion.

Top 6 peaks for 2θ from 10° to 90°, by intensity:
2θ (°)  I_rel
35.42  100
38.46  29
31.53  20
46.82  19
27.71  19
65.83  16

Structure:
a = 6.0078 Å, b = 6.0078 Å, c = 7.6242 Å
α = 90.00°, β = 90.00°, γ = 90.00°
Space group P4_2/nmc (No. 137, origin choice 2)
Symmetry-distinct sites (fractional):
Pa 0.2500 0.7500 0.2500
P 0.0302 0.2500 0.0583
Ru 0.0267 0.2500 0.3633


# Pa3P2Ru7
Computed powder diffraction line list, CuKα. Input: a cell relaxed with PBE.
Neutral-atom scattering factors, no anomalous dispersion.

Top 6 peaks for 2θ from 10° to 90°, by intensity:
2θ (°)  I_rel
38.20  100
44.66  64
31.17  32
64.40  30
34.45  30
22.20  27

Structure:
a = 4.0581 Å, b = 4.0581 Å, c = 24.7622 Å
α = 90.00°, β = 90.00°, γ = 90.00°
Space group I4/mmm (No. 139)
Symmetry-distinct sites (fractional):
Pa 0.0000 0.0000 0.0000
Pa 0.0000 0.0000 0.1703
P 0.0000 0.0000 0.3654
Ru 0.0000 0.0000 0.2646
Ru 0.0000 0.0000 0.5000
Ru 0.0000 0.5000 0.0848


# Pa2P4Ru3
Computed powder diffraction line list, CuKα. Input: a cell relaxed with PBE.
Neutral-atom scattering factors, no anomalous dispersion.

Top 6 peaks for 2θ from 10° to 90°, by intensity:
2θ (°)  I_rel
37.67  100
40.66  64
39.88  54
35.24  51
27.58  48
36.43  48

Structure:
a = 5.6584 Å, b = 14.1658 Å, c = 7.1551 Å
α = 90.00°, β = 90.00°, γ = 90.00°
Space group Cmce (No. 64)
Symmetry-distinct sites (fractional):
Pa 0.0000 0.1113 0.0817
P 0.0000 0.1823 0.4653
P 0.2500 0.0500 0.7500
Ru 0.0000 0.0000 0.5000
Ru 0.2500 0.2176 0.7500


# PaTiP2Ru5
Computed powder diffraction line list, CuKα. Input: a cell relaxed with PBE.
Neutral-atom scattering factors, no anomalous dispersion.

Top 6 peaks for 2θ from 10° to 90°, by intensity:
2θ (°)  I_rel
38.13  100
44.63  40
24.41  32
77.88  24
39.44  18
64.95  18

Structure:
a = 4.0608 Å, b = 4.0608 Å, c = 8.2901 Å
α = 90.00°, β = 90.00°, γ = 90.00°
Space group P4/mmm (No. 123)
Symmetry-distinct sites (fractional):
Pa 0.0000 0.0000 0.0000
Ti 0.0000 0.0000 0.5000
P 0.5000 0.5000 0.1410
Ru 0.0000 0.5000 0.2763
Ru 0.5000 0.5000 0.5000


# PaPS2
Computed powder diffraction line list, CuKα. Input: a cell relaxed with PBE.
Neutral-atom scattering factors, no anomalous dispersion.

Top 6 peaks for 2θ from 10° to 90°, by intensity:
2θ (°)  I_rel
10.70  100
31.68  77
31.04  67
21.50  43
42.69  42
34.13  33

Structure:
a = 3.3490 Å, b = 3.3490 Å, c = 24.8027 Å
α = 90.00°, β = 90.00°, γ = 120.00°
Space group R-3m (No. 166, hexagonal axes)
Symmetry-distinct sites (fractional):
Pa 0.0000 0.0000 0.0000
P 0.0000 0.0000 0.5000
S 0.0000 0.0000 0.1090


# Pa2PS3
Computed powder diffraction line list, CuKα. Input: a cell relaxed with PBE.
Neutral-atom scattering factors, no anomalous dispersion.

Top 6 peaks for 2θ from 10° to 90°, by intensity:
2θ (°)  I_rel
25.11  100
27.19  72
17.32  67
25.52  44
43.41  35
11.89  34

Structure:
a = 15.6512 Å, b = 4.2178 Å, c = 10.5551 Å
α = 90.00°, β = 116.86°, γ = 90.00°
Space group C2/m (No. 12)
Symmetry-distinct sites (fractional):
Pa 0.1179 0.0000 0.4303
Pa 0.1433 0.5000 0.8254
P 0.0748 0.0000 0.6520
S 0.0496 0.5000 0.2447
S 0.1648 0.0000 0.0050
S 0.2221 0.5000 0.6139


# PaPS6
Computed powder diffraction line list, CuKα. Input: a cell relaxed with PBE.
Neutral-atom scattering factors, no anomalous dispersion.

Top 6 peaks for 2θ from 10° to 90°, by intensity:
2θ (°)  I_rel
20.34  100
16.30  96
34.66  65
25.46  50
17.01  47
22.50  36

Structure:
a = 6.1296 Å, b = 10.8793 Å, c = 5.9362 Å
α = 90.00°, β = 104.42°, γ = 90.00°
Space group C2/m (No. 12)
Symmetry-distinct sites (fractional):
Pa 0.0000 0.0000 0.0000
P 0.0000 0.5000 0.5000
S 0.1920 0.3538 0.7265
S 0.2398 0.5000 0.2779


# Pa4P5S
Computed powder diffraction line list, CuKα. Input: a cell relaxed with PBE.
Neutral-atom scattering factors, no anomalous dispersion.

Top 6 peaks for 2θ from 10° to 90°, by intensity:
2θ (°)  I_rel
38.33  100
37.87  99
27.24  91
26.13  68
24.67  64
24.78  63

Structure:
a = 14.5820 Å, b = 4.4304 Å, c = 6.8216 Å
α = 90.00°, β = 90.98°, γ = 90.00°
Space group C2/m (No. 12)
Symmetry-distinct sites (fractional):
Pa 0.0115 0.0000 0.2497
Pa 0.2007 0.5000 0.7469
P 0.0000 0.5000 0.5000
P 0.1595 0.0000 0.5137
P 0.1588 0.0000 0.9839
S 0.0000 0.5000 0.0000